Structure and computed powder XRD pattern of Ac6In5Sn (a DFT-relaxed cell (PBE, Alexandria); Cu Kα).

Structural model:
```
data_Ac6In5Sn
_chemical_formula_sum 'Ac12 In10 Sn2'
_cell_length_a 5.7714
_cell_length_b 17.3919
_cell_length_c 8.2679
_cell_angle_alpha 90.00
_cell_angle_beta 90.00
_cell_angle_gamma 90.00
_space_group_name_H-M_alt 'C m m m'
_space_group_IT_number 65
_space_group_name_Hall '-C 2 2'
loop_
_atom_site_label
_atom_site_type_symbol
_atom_site_fract_x
_atom_site_fract_y
_atom_site_fract_z
Ac1 Ac 0.0000 0.0000 0.2464
Ac2 Ac 0.0000 0.3349 0.2513
In1 In 0.0000 0.1660 0.5000
In2 In 0.0000 0.1716 0.0000
In3 In 0.0000 0.5000 0.5000
Sn1 Sn 0.0000 0.5000 0.0000
```

Peak list (10 most intense, 10 to 90 degrees two-theta, by angle)
d_spacing  intensity  hkl
4.090  8.4  1 3 0
2.906  100.0  1 3 2
2.886  19.7  2 0 0
2.045  14.9  2 6 0
1.683  8.1  0 6 4
1.675  15.8  1 9 2
1.670  15.8  3 3 2
1.454  10.0  2 6 4
1.295  10.1  3 9 2
1.096  8.4  4 6 4

Structure and computed powder XRD pattern of PmDy2Cu (a DFT-relaxed cell (PBE, Alexandria); Cu Kα).

Structural model:
```
data_PmDy2Cu
_chemical_formula_sum 'Pm4 Dy8 Cu4'
_cell_length_a 6.8462
_cell_length_b 9.8892
_cell_length_c 6.5029
_cell_angle_alpha 90.00
_cell_angle_beta 90.00
_cell_angle_gamma 90.00
_space_group_name_H-M_alt 'P n m a'
_space_group_IT_number 62
_space_group_name_Hall '-P 2ac 2n'
loop_
_atom_site_label
_atom_site_type_symbol
_atom_site_fract_x
_atom_site_fract_y
_atom_site_fract_z
Pm1 Pm 0.0109 0.2500 0.1357
Dy1 Dy 0.1839 0.0582 0.6788
Cu1 Cu 0.1052 0.7500 0.4319
```

Peak list (10 most intense, 10 to 90 degrees two-theta, by angle)
d_spacing  intensity  hkl
2.939  86.4  0 3 1
2.896  31.4  2 1 1
2.815  100.0  2 2 0
2.702  21.9  1 3 1
2.583  31.5  2 2 1
2.525  26.9  1 2 2
2.374  20.2  2 3 0
1.656  28.3  4 0 1
1.625  26.9  3 3 2
1.571  19.2  3 0 3

Structure and computed powder XRD pattern of Ta4MnCr3 (a DFT-relaxed cell (PBE, Alexandria); Cu Kα).

Structural model:
```
data_Ta4MnCr3
_chemical_formula_sum 'Ta4 Mn1 Cr3'
_cell_length_a 3.0867
_cell_length_b 3.0867
_cell_length_c 12.3763
_cell_angle_alpha 90.00
_cell_angle_beta 90.00
_cell_angle_gamma 90.00
_space_group_name_H-M_alt 'P 4/m m m'
_space_group_IT_number 123
_space_group_name_Hall '-P 4 2'
loop_
_atom_site_label
_atom_site_type_symbol
_atom_site_fract_x
_atom_site_fract_y
_atom_site_fract_z
Ta1 Ta 0.0000 0.0000 0.1235
Ta2 Ta 0.0000 0.0000 0.3740
Mn1 Mn 0.5000 0.5000 0.0000
Cr1 Cr 0.5000 0.5000 0.2487
Cr2 Cr 0.5000 0.5000 0.5000
```

Peak list (10 most intense, 10 to 90 degrees two-theta, by angle)
d_spacing  intensity  hkl
3.089  36.4  1 0 0
2.184  100.0  1 1 0
1.784  10.8  1 1 4
1.547  5.5  0 0 8
1.543  11.0  2 0 0
1.383  4.9  1 0 8
1.381  9.7  2 1 0
1.262  11.0  1 1 8
1.261  22.1  2 1 4
1.093  7.3  2 0 8

Structure and computed powder XRD pattern of Th2Co3Ge2 (a DFT-relaxed cell (PBE, Alexandria); Cu Kα).

Structural model:
```
data_Th2Co3Ge2
_chemical_formula_sum 'Th6 Co9 Ge6'
_cell_length_a 5.3818
_cell_length_b 5.3818
_cell_length_c 15.4024
_cell_angle_alpha 90.00
_cell_angle_beta 90.00
_cell_angle_gamma 120.00
_space_group_name_H-M_alt 'R -3 m'
_space_group_IT_number 166
_space_group_name_Hall '-R 3 2"'
loop_
_atom_site_label
_atom_site_type_symbol
_atom_site_fract_x
_atom_site_fract_y
_atom_site_fract_z
Th1 Th 0.0000 0.0000 0.0000
Th2 Th 0.0000 0.0000 0.5000
Co1 Co 0.0000 0.5000 0.0000
Ge1 Ge 0.0000 0.0000 0.2150
```

Peak list (10 most intense, 10 to 90 degrees two-theta, by angle)
d_spacing  intensity  hkl
3.987  53.4  0 1 2
2.969  100.0  1 0 4
2.691  95.9  1 1 0
2.567  36.5  0 0 6
2.230  48.9  2 0 2
1.993  81.3  0 2 4
1.858  39.7  1 1 6
1.602  33.8  2 1 4
1.345  23.8  2 2 0
1.285  20.1  0 2 10

Structure and computed powder XRD pattern of Pm2Pa2Te2S5 (a DFT-relaxed cell (PBE, Alexandria); Cu Kα).

Structural model:
```
data_Pm2Pa2Te2S5
_chemical_formula_sum 'Pm4 Pa4 Te4 S10'
_cell_length_a 5.2304
_cell_length_b 5.2304
_cell_length_c 25.8007
_cell_angle_alpha 90.00
_cell_angle_beta 90.00
_cell_angle_gamma 90.00
_space_group_name_H-M_alt 'I 4/m m m'
_space_group_IT_number 139
_space_group_name_Hall '-I 4 2'
loop_
_atom_site_label
_atom_site_type_symbol
_atom_site_fract_x
_atom_site_fract_y
_atom_site_fract_z
Pm1 Pm 0.0000 0.0000 0.1623
Pa1 Pa 0.0000 0.0000 0.3993
Te1 Te 0.0000 0.0000 0.2834
S1 S 0.0000 0.0000 0.5000
S2 S 0.0000 0.5000 0.1117
```

Peak list (10 most intense, 10 to 90 degrees two-theta, by angle)
d_spacing  intensity  hkl
6.450  52.3  0 0 4
5.126  47.7  1 0 1
3.698  100.0  1 1 0
3.673  23.6  1 0 5
3.013  42.8  1 0 7
2.615  69.1  2 0 0
2.514  79.5  1 0 9
1.975  26.0  2 1 7
1.849  24.6  2 2 0
1.812  60.2  2 1 9

Structure and computed powder XRD pattern of BaTl3Te2O9 (a DFT-relaxed cell (PBE, Alexandria); Cu Kα).

Structural model:
```
data_BaTl3Te2O9
_chemical_formula_sum 'Ba1 Tl3 Te2 O9'
_cell_length_a 5.9073
_cell_length_b 5.9073
_cell_length_c 8.2400
_cell_angle_alpha 90.00
_cell_angle_beta 90.00
_cell_angle_gamma 120.00
_space_group_name_H-M_alt 'P -3 m 1'
_space_group_IT_number 164
_space_group_name_Hall '-P 3 2"'
loop_
_atom_site_label
_atom_site_type_symbol
_atom_site_fract_x
_atom_site_fract_y
_atom_site_fract_z
Ba1 Ba 0.0000 0.0000 0.0000
Tl1 Tl 0.0000 0.0000 0.5000
Tl2 Tl 0.3333 0.6667 0.2064
Te1 Te 0.3333 0.6667 0.6479
O1 O 0.0000 0.5000 0.5000
O2 O 0.1736 0.3472 0.7635
```

Peak list (10 most intense, 10 to 90 degrees two-theta, by angle)
d_spacing  intensity  hkl
3.209  100.0  0 1 2
2.954  86.1  1 1 0
2.173  47.5  2 0 2
1.911  16.6  1 0 4
1.750  34.9  1 2 2
1.705  17.7  3 0 0
1.604  10.6  0 2 4
1.477  15.0  2 2 0
1.410  12.8  2 1 4
1.342  15.2  3 1 2